# 1
Starting from a DFT-relaxed cell (GGA+U, the Materials Project), the XRD peak list of Ca2IrWO6 was calculated for CuKα.
Peak positions follow from Bragg's law for the DFT cell and can differ from measured ones.

Cell: 5.4458 5.6779 9.5128 Å, 90.00 124.16 90.00°
Space group P2_1/c (No. 14)
One atom of each set of equivalent atoms:
Ca (0.2325, 0.0543, 0.2472) x4
Ir (0.0000, 0.0000, 0.5000) x2
W (0.5000, 0.0000, 0.0000) x2
O (0.1643, 0.1987, 0.9558) x4
O (0.2431, 0.7091, 0.9390) x4
O (0.3562, 0.0442, 0.7530) x4

Most intense lines, 2θ from 10° to 80°, sorted by position:
2θ (°)	I (rel.)
22.61	100
31.51	26
32.03	52
32.35	51
32.90	23
46.17	39

# 2
Starting from a DFT-relaxed cell (GGA+U, the Materials Project), the XRD peak list of KCaLaWO6 was calculated for CuKα.
Peak positions follow from Bragg's law for the DFT cell and can differ from measured ones.

Cell: 8.3431 8.3431 8.3431 Å, 90.00 90.00 90.00°
Space group F-43m (No. 216)
One atom of each set of equivalent atoms:
K (0.0000, 0.0000, 0.0000) x4
Ca (0.2500, 0.2500, 0.2500) x4
La (0.0000, 0.0000, 0.5000) x4
W (0.2500, 0.2500, 0.7500) x4
O (0.0175, 0.2500, 0.7500) x24

Most intense lines, 2θ from 10° to 80°, sorted by position:
2θ (°)	I (rel.)
18.42	51
30.30	100
35.69	26
43.38	33
53.83	39
63.03	20

# 3
Starting from a DFT-relaxed cell (GGA+U, the Materials Project), the XRD peak list of KCaLaWO6 was calculated for CuKα.
Peak positions follow from Bragg's law for the DFT cell and can differ from measured ones.

Cell: 8.5990 8.5990 8.5990 Å, 90.00 90.00 90.00°
Space group F-43m (No. 216)
One atom of each set of equivalent atoms:
K (0.0000, 0.0000, 0.0000) x4
Ca (0.0000, 0.0000, 0.5000) x4
La (0.2500, 0.2500, 0.2500) x4
W (0.2500, 0.2500, 0.7500) x4
O (0.0232, 0.2500, 0.7500) x24

Most intense lines, 2θ from 10° to 80°, sorted by position:
2θ (°)	I (rel.)
20.66	63
29.38	100
42.03	33
47.27	28
52.11	40
60.95	20

# 4
Starting from a DFT-relaxed cell (GGA+U, the Materials Project), the XRD peak list of KCaLaWO6 was calculated for CuKα.
Peak positions follow from Bragg's law for the DFT cell and can differ from measured ones.

Cell: 8.5001 8.5056 8.5608 Å, 90.00 90.00 90.00°
Space group Pnnn (No. 48, origin choice 2)
One atom of each set of equivalent atoms:
K (0.2500, 0.2500, 0.2500) x2
K (0.2500, 0.7500, 0.7500) x2
Ca (0.2500, 0.2500, 0.7500) x2
Ca (0.2500, 0.7500, 0.2500) x2
La (0.0000, 0.0000, 0.0000) x4
W (0.0000, 0.0000, 0.5000) x4
O (0.0360, 0.2251, 0.4730) x8
O (0.0366, 0.5517, 0.2255) x8
O (0.2251, 0.5250, 0.9600) x8

Most intense lines, 2θ from 10° to 80°, sorted by position:
2θ (°)	I (rel.)
20.75	30
20.89	58
29.62	100
29.72	48
42.53	28
52.68	43

# 5
Starting from a DFT-relaxed cell (GGA+U, the Materials Project), the XRD peak list of KCaNbWO6 was calculated for CuKα.
Peak positions follow from Bragg's law for the DFT cell and can differ from measured ones.

Cell: 8.0974 8.0974 8.0974 Å, 90.00 90.00 90.00°
Space group F-43m (No. 216)
One atom of each set of equivalent atoms:
K (0.0000, 0.0000, 0.0000) x4
Ca (0.0000, 0.0000, 0.5000) x4
Nb (0.2500, 0.2500, 0.2500) x4
W (0.2500, 0.2500, 0.7500) x4
O (0.0011, 0.2500, 0.2500) x24

Most intense lines, 2θ from 10° to 80°, sorted by position:
2θ (°)	I (rel.)
21.95	59
31.24	100
44.77	35
50.40	26
55.60	39
65.17	21

# 6
Starting from a DFT-relaxed cell (GGA+U, the Materials Project), the XRD peak list of KCaPrWO6 was calculated for CuKα.
Peak positions follow from Bragg's law for the DFT cell and can differ from measured ones.

Cell: 8.3295 8.3295 8.3295 Å, 90.00 90.00 90.00°
Space group F-43m (No. 216)
One atom of each set of equivalent atoms:
K (0.0000, 0.0000, 0.0000) x4
Ca (0.2500, 0.2500, 0.7500) x4
Pr (0.0000, 0.0000, 0.5000) x4
W (0.2500, 0.2500, 0.2500) x4
O (0.0172, 0.2500, 0.2500) x24

Most intense lines, 2θ from 10° to 80°, sorted by position:
2θ (°)	I (rel.)
18.45	51
30.35	100
35.75	27
43.46	33
53.93	39
63.14	20

# 7
Starting from a DFT-relaxed cell (GGA+U, the Materials Project), the XRD peak list of KCaPrWO6 was calculated for CuKα.
Peak positions follow from Bragg's law for the DFT cell and can differ from measured ones.

Cell: 8.4454 8.4582 8.5067 Å, 90.00 90.00 90.00°
Space group Pnnn (No. 48, origin choice 2)
One atom of each set of equivalent atoms:
K (0.2500, 0.2500, 0.2500) x2
K (0.2500, 0.7500, 0.7500) x2
Ca (0.2500, 0.2500, 0.7500) x2
Ca (0.2500, 0.7500, 0.2500) x2
Pr (0.0000, 0.0000, 0.0000) x4
W (0.0000, 0.0000, 0.5000) x4
O (0.0337, 0.0491, 0.7267) x8
O (0.0353, 0.7254, 0.9769) x8
O (0.2257, 0.0260, 0.4646) x8

Most intense lines, 2θ from 10° to 80°, sorted by position:
2θ (°)	I (rel.)
20.89	31
21.02	59
29.80	100
29.90	48
42.80	29
53.02	43

# 8
Starting from a DFT-relaxed cell (GGA+U, the Materials Project), the XRD peak list of KCaPrWO6 was calculated for CuKα.
Peak positions follow from Bragg's law for the DFT cell and can differ from measured ones.

Cell: 8.5654 8.5654 8.5654 Å, 90.00 90.00 90.00°
Space group F-43m (No. 216)
One atom of each set of equivalent atoms:
K (0.0000, 0.0000, 0.0000) x4
Ca (0.0000, 0.0000, 0.5000) x4
Pr (0.2500, 0.2500, 0.2500) x4
W (0.2500, 0.2500, 0.7500) x4
O (0.0224, 0.2500, 0.7500) x24

Most intense lines, 2θ from 10° to 80°, sorted by position:
2θ (°)	I (rel.)
20.74	63
29.50	100
42.20	33
47.47	28
52.33	40
61.21	20

# 9
Starting from a DFT-relaxed cell (GGA+U, the Materials Project), the XRD peak list of KCaTbWO6 was calculated for CuKα.
Peak positions follow from Bragg's law for the DFT cell and can differ from measured ones.

Cell: 8.3683 8.3683 8.3683 Å, 90.00 90.00 90.00°
Space group F-43m (No. 216)
One atom of each set of equivalent atoms:
K (0.0000, 0.0000, 0.0000) x4
Ca (0.0000, 0.0000, 0.5000) x4
Tb (0.2500, 0.2500, 0.2500) x4
W (0.2500, 0.2500, 0.7500) x4
O (0.0172, 0.2500, 0.7500) x24

Most intense lines, 2θ from 10° to 80°, sorted by position:
2θ (°)	I (rel.)
21.23	66
30.21	100
43.25	32
48.66	29
53.66	40
62.82	20

Number 7 is which compound?
KCaPrWO6